Structure and simulated powder X-ray diffraction pattern of Ca4LaB3O10 (a GGA-PBE-relaxed structure; Cu Kα (λ = 1.5418 Å)).
Kinematic intensities with the Lorentz-polarization factor, no thermal factor.

Structural model:
Cell: 9.094 9.094 3.656 Å, 95.12 95.12 126.33°
Positions (direct):
Ca1 0.114 0.886 0.000
Ca2 0.447 0.809 0.337
Ca3 0.809 0.447 0.337
Ca4 0.886 0.114 0.000
La1 0.354 0.354 0.667
B1 0.115 0.507 0.755
B2 0.507 0.115 0.755
B3 0.740 0.740 0.376
O1 0.050 0.592 0.939
O2 0.176 0.176 0.084
O3 0.305 0.601 0.762
O4 0.327 0.988 0.558
O5 0.567 0.567 0.281
O6 0.592 0.050 0.939
O7 0.601 0.305 0.762
O8 0.750 0.899 0.423
O9 0.899 0.750 0.423
O10 0.988 0.327 0.558

The 10 most intense peaks (2θ = 10–90°), by intensity:
Position (°2θ)  intensity
29.7  100
12.3  49
29.9  46
19.8  41
31.3  30
24.7  30
50.3  28
10.9  24
40.5  23
47.3  22



Structure and simulated powder X-ray diffraction pattern of CaLa2B10O19 (a GGA-PBE-relaxed structure; Cu Kα (λ = 1.5418 Å)).
Kinematic intensities with the Lorentz-polarization factor, no thermal factor.

Structural model:
Cell: 6.480 6.480 9.188 Å, 91.44 91.44 61.51°
Positions (direct):
Ca1 0.000 0.000 0.000
La1 0.024 0.652 0.356
La2 0.348 0.976 0.644
B1 0.028 0.626 0.708
B2 0.374 0.972 0.292
B3 0.442 0.023 0.029
B4 0.472 0.449 0.661
B5 0.551 0.528 0.339
B6 0.633 0.138 0.230
B7 0.814 0.053 0.626
B8 0.862 0.367 0.770
B9 0.947 0.186 0.374
B10 0.977 0.558 0.971
O1 0.028 0.403 0.681
O2 0.042 0.667 0.864
O3 0.178 0.177 0.364
O4 0.240 0.616 0.634
O5 0.333 0.958 0.136
O6 0.384 0.005 0.889
O7 0.384 0.760 0.366
O8 0.470 0.386 0.278
O9 0.555 0.222 0.613
O10 0.594 0.109 0.073
O11 0.597 0.972 0.319
O12 0.614 0.530 0.722
O13 0.778 0.445 0.387
O14 0.823 0.822 0.636
O15 0.880 0.087 0.246
O16 0.891 0.406 0.927
O17 0.913 0.120 0.754
O18 0.953 0.047 0.500
O19 0.995 0.616 0.111

The 10 most intense peaks (2θ = 10–90°), by intensity:
Position (°2θ)  intensity
27.5  100
24.7  98
15.6  94
29.2  83
18.2  79
25.1  75
33.4  70
47.9  70
26.9  61
31.4  61



Structure and simulated powder X-ray diffraction pattern of LiCa4B3N6 (a GGA-PBE-relaxed structure; Cu Kα (λ = 1.5418 Å)).
Kinematic intensities with the Lorentz-polarization factor, no thermal factor.

Structural model:
Cell: 6.178 6.178 6.178 Å, 109.47 109.47 109.47°
Positions (direct):
Li1 0.000 0.000 0.000
Ca1 0.000 0.000 0.500
Ca2 0.000 0.500 0.000
Ca3 0.500 0.000 0.000
Ca4 0.500 0.500 0.500
B1 0.000 0.500 0.500
B2 0.500 0.000 0.500
B3 0.500 0.500 0.000
N1 0.000 0.312 0.312
N2 0.000 0.688 0.688
N3 0.312 0.000 0.312
N4 0.312 0.312 0.000
N5 0.688 0.000 0.688
N6 0.688 0.688 0.000

The 10 most intense peaks (2θ = 10–90°), by intensity:
Position (°2θ)  intensity
35.6  100
44.0  38
25.0  38
51.2  27
63.9  24
57.8  23
30.7  18
86.2  17
75.4  12
80.8  11



Repeat the third record exactly.
Structure and simulated powder X-ray diffraction pattern of LiCa4B3N6 (a GGA-PBE-relaxed structure; Cu Kα (λ = 1.5418 Å)).
Kinematic intensities with the Lorentz-polarization factor, no thermal factor.

Structural model:
Cell: 6.178 6.178 6.178 Å, 109.47 109.47 109.47°
Positions (direct):
Li1 0.000 0.000 0.000
Ca1 0.000 0.000 0.500
Ca2 0.000 0.500 0.000
Ca3 0.500 0.000 0.000
Ca4 0.500 0.500 0.500
B1 0.000 0.500 0.500
B2 0.500 0.000 0.500
B3 0.500 0.500 0.000
N1 0.000 0.312 0.312
N2 0.000 0.688 0.688
N3 0.312 0.000 0.312
N4 0.312 0.312 0.000
N5 0.688 0.000 0.688
N6 0.688 0.688 0.000

The 10 most intense peaks (2θ = 10–90°), by intensity:
Position (°2θ)  intensity
35.6  100
44.0  38
25.0  38
51.2  27
63.9  24
57.8  23
30.7  18
86.2  17
75.4  12
80.8  11